[1]
# BaAlCu
Computed XRD peak list, Cu Kα (λ = 1.5418 Å). Input: the PBE geometry in Alexandria.
Intensities are scaled so that the largest is 100.

Unit cell a=6.8762 b=6.8762 c=6.8762 alpha=90.00 beta=90.00 gamma=90.00
Fractional positions:
Ba 0.1465 0.1465 0.1465
Ba 0.3535 0.8535 0.6465
Ba 0.6465 0.3535 0.8535
Ba 0.8535 0.6465 0.3535
Al 0.1527 0.3473 0.6527
Al 0.3473 0.6527 0.1527
Al 0.6527 0.1527 0.3473
Al 0.8473 0.8473 0.8473
Cu 0.0888 0.5888 0.9112
Cu 0.4112 0.4112 0.4112
Cu 0.5888 0.9112 0.0888
Cu 0.9112 0.0888 0.5888

Peak list (10 most intense, 2θ from 5° to 70°, sorted by position)
| two_theta | Rel. int. |
| --- | --- |
| 22.39 | 23 |
| 29.04 | 100 |
| 31.88 | 81 |
| 41.53 | 11 |
| 43.66 | 13 |
| 47.69 | 12 |
| 49.61 | 47 |
| 53.29 | 13 |
| 58.51 | 12 |
| 61.83 | 16 |

[2]
# Ba5Al3Cu2
Computed XRD peak list, Cu Kα (λ = 1.5418 Å). Input: the PBE geometry in Alexandria.
Intensities are scaled so that the largest is 100.

Unit cell a=13.3284 b=13.3284 c=13.3284 alpha=24.37 beta=24.37 gamma=24.37
Fractional positions:
Ba 0.0000 0.0000 0.0000
Ba 0.0933 0.0933 0.0933
Ba 0.5300 0.5300 0.5300
Ba 0.6345 0.6345 0.6345
Ba 0.8281 0.8281 0.8281
Al 0.0803 0.0803 0.5840
Al 0.0803 0.5840 0.0803
Al 0.5840 0.0803 0.0803
Cu 0.1951 0.1951 0.1951
Cu 0.3643 0.3643 0.3643

Peak list (10 most intense, 2θ from 5° to 70°, sorted by position)
| two_theta | Rel. int. |
| --- | --- |
| 13.70 | 20 |
| 18.78 | 24 |
| 20.40 | 24 |
| 24.33 | 42 |
| 31.32 | 84 |
| 31.81 | 100 |
| 34.78 | 30 |
| 38.21 | 27 |
| 45.24 | 23 |
| 56.36 | 31 |

[3]
# Ba2AlCu2F11
Computed XRD peak list, Cu Kα (λ = 1.5418 Å). Input: the PBE geometry in Alexandria.
Intensities are scaled so that the largest is 100.

Unit cell a=7.4118 b=7.4118 c=14.3600 alpha=90.00 beta=90.00 gamma=120.00
Fractional positions:
Ba 0.1430 0.0148 0.0000
Ba 0.5076 0.1599 0.4674
Ba 0.6523 0.4924 0.8007
Ba 0.8401 0.3477 0.1340
Ba 0.8718 0.8570 0.3333
Ba 0.9852 0.1282 0.6667
Al 0.1694 0.4964 0.8718
Al 0.3270 0.8306 0.2051
Al 0.5036 0.6730 0.5385
Cu 0.1262 0.4359 0.3885
Cu 0.3096 0.8738 0.7218
Cu 0.3393 0.3219 0.2228
Cu 0.5641 0.6904 0.0552
Cu 0.6781 0.0174 0.8895
Cu 0.9826 0.6607 0.5562
F 0.0148 0.7554 0.6878
F 0.0570 0.1480 0.1815
F 0.0579 0.7671 0.1770
F 0.0654 0.3723 0.9817
F 0.0910 0.9430 0.5148
F 0.1204 0.7096 0.8891
F 0.2103 0.5594 0.2426
F 0.2329 0.2907 0.8436
F 0.2446 0.2594 0.3545
F 0.2638 0.5979 0.7519
F 0.2904 0.4108 0.5558
F 0.3070 0.9346 0.3150
F 0.3341 0.7362 0.0852
F 0.3491 0.7897 0.5760
F 0.3627 0.1453 0.6877
F 0.4021 0.6659 0.4186
F 0.4097 0.4052 0.0922
F 0.4263 0.0854 0.1503
F 0.4406 0.6509 0.9093
F 0.5335 0.1581 0.9267
F 0.5892 0.8796 0.2225
F 0.5948 0.0045 0.7589
F 0.6246 0.4665 0.2600
F 0.6277 0.6930 0.6484
F 0.6591 0.5737 0.4836
F 0.7093 0.9421 0.5103
F 0.7406 0.9852 0.0212
F 0.7826 0.6373 0.0210
F 0.8419 0.3754 0.5933
F 0.8520 0.9090 0.8482
F 0.8547 0.2174 0.3544
F 0.9146 0.3409 0.8170
F 0.9955 0.5903 0.4256

Peak list (10 most intense, 2θ from 5° to 70°, sorted by position)
| two_theta | Rel. int. |
| --- | --- |
| 23.18 | 70 |
| 24.81 | 58 |
| 27.08 | 66 |
| 28.49 | 100 |
| 30.51 | 60 |
| 39.20 | 50 |
| 40.21 | 30 |
| 45.10 | 36 |
| 49.17 | 47 |
| 57.81 | 30 |

[4]
# Ba2AlCuF9
Computed XRD peak list, Cu Kα (λ = 1.5418 Å). Input: the PBE geometry in Alexandria.
Intensities are scaled so that the largest is 100.

Unit cell a=5.4862 b=7.4344 c=9.3766 alpha=90.00 beta=90.89 gamma=90.00
Fractional positions:
Ba 0.2365 0.0000 0.0566
Ba 0.2492 0.2282 0.5858
Ba 0.7508 0.7282 0.4142
Ba 0.7635 0.5000 0.9434
Al 0.2591 0.7066 0.6737
Al 0.7409 0.2066 0.3263
Cu 0.2485 0.5134 0.2320
Cu 0.7515 0.0134 0.7680
F 0.0079 0.6826 0.1739
F 0.0203 0.5402 0.6796
F 0.0204 0.8885 0.6529
F 0.2091 0.3578 0.0518
F 0.2494 0.6958 0.4776
F 0.2780 0.7332 0.8612
F 0.4956 0.5368 0.6736
F 0.4984 0.8861 0.6484
F 0.4986 0.6729 0.1695
F 0.5014 0.1729 0.8305
F 0.5016 0.3861 0.3516
F 0.5044 0.0368 0.3264
F 0.7220 0.2332 0.1388
F 0.7506 0.1958 0.5224
F 0.7909 0.8578 0.9482
F 0.9797 0.0402 0.3204
F 0.9796 0.3885 0.3471
F 0.9921 0.1826 0.8261

Peak list (10 most intense, 2θ from 5° to 70°, sorted by position)
| two_theta | Rel. int. |
| --- | --- |
| 22.38 | 69 |
| 24.79 | 67 |
| 25.18 | 54 |
| 25.78 | 100 |
| 27.58 | 55 |
| 27.94 | 62 |
| 30.50 | 66 |
| 30.66 | 54 |
| 40.35 | 54 |
| 42.18 | 54 |